Entry 1:
Simulated XRD peak list of KInBP2HO9 for Cu Kα, 1.54184 Å, from DFT lattice parameters and positions (GGA-PBE).

Main lines, sorted by position (2θ = 10–80°):
- 2θ 10.6, I 40, hkl 0 0 1
- 2θ 14.8, I 100, hkl 0 1 1
- 2θ 19.6, I 54, hkl 1 1 0
- 2θ 21.2, I 74, hkl 0 0 2
- 2θ 24.7, I 33, hkl 1 0 2
- 2θ 26.7, I 48, hkl 1 2 0
- 2θ 27.4, I 81, hkl 1 2 1
- 2θ 27.8, I 57, hkl 1 -2 0
- 2θ 30.8, I 39, hkl -1 2 1
- 2θ 34.1, I 33, hkl 2 0 0

Structure:
```
KInBP2HO9
1.0
5.3519 0.0000 0.0000
0.3941 8.3523 0.0000
1.5352 0.1927 8.3945
K In B P H O
2 2 2 4 2 18
Direct
0.2192 0.3271 0.1170 K
0.7808 0.6729 0.8830 K
0.2249 0.8073 0.1993 In
0.7751 0.1927 0.8007 In
0.3965 0.7330 0.5573 B
0.6035 0.2670 0.4427 B
0.2825 0.9326 0.8114 P
0.3056 0.4232 0.6966 P
0.6944 0.5768 0.3034 P
0.7175 0.0674 0.1886 P
0.1162 0.8933 0.5174 H
0.8838 0.1067 0.4826 H
0.0244 0.9785 0.7581 O
0.0575 0.3702 0.7983 O
0.2259 0.8127 0.4560 O
0.2409 0.8040 0.9468 O
0.2508 0.6028 0.6499 O
0.3652 0.3247 0.5402 O
0.4140 0.0783 0.8557 O
0.4644 0.8503 0.6662 O
0.4718 0.5896 0.2111 O
0.5282 0.4104 0.7889 O
0.5356 0.1497 0.3338 O
0.5860 0.9217 0.1443 O
0.6348 0.6753 0.4598 O
0.7492 0.3972 0.3501 O
0.7591 0.1960 0.0532 O
0.7741 0.1873 0.5440 O
0.9425 0.6298 0.2017 O
0.9756 0.0215 0.2419 O
```

Entry 2:
Simulated XRD peak list of NaInBP2HO9 for Cu Kα, 1.54184 Å, from DFT lattice parameters and positions (GGA-PBE).

Main lines, sorted by position (2θ = 10–80°):
- 2θ 15.3, I 95, hkl 0 2 1
- 2θ 19.6, I 54, hkl 1 0 0
- 2θ 20.9, I 55, hkl 0 4 0
- 2θ 21.1, I 46, hkl 1 0 -2
- 2θ 27.0, I 34, hkl 1 4 -1
- 2θ 29.2, I 100, hkl 1 2 1
- 2θ 29.9, I 37, hkl 1 1 -3
- 2θ 31.6, I 35, hkl 0 6 0
- 2θ 33.5, I 51, hkl 1 3 -3
- 2θ 34.6, I 45, hkl 2 1 -2

Structure:
```
NaInBP2HO9
1.0
5.2616 0.0000 0.0000
0.0000 17.0035 0.0000
-4.6363 0.0000 7.8811
Na In B P H O
4 4 4 8 4 36
Direct
0.0190 0.1603 0.1602 Na
0.0190 0.3397 0.6602 Na
0.9810 0.6603 0.3398 Na
0.9810 0.8397 0.8398 Na
0.4661 0.6597 0.7943 In
0.4661 0.8403 0.2943 In
0.5339 0.1597 0.7057 In
0.5339 0.3403 0.2057 In
0.3549 0.5251 0.2469 B
0.3549 0.9749 0.7469 B
0.6451 0.0251 0.2531 B
0.6451 0.4749 0.7531 B
0.2188 0.6676 0.0748 P
0.2188 0.8324 0.5748 P
0.2649 0.0879 0.9349 P
0.2649 0.4121 0.4349 P
0.7351 0.5879 0.5651 P
0.7351 0.9121 0.0651 P
0.7812 0.1676 0.4252 P
0.7812 0.3324 0.9252 P
0.2906 0.0245 0.5284 H
0.2906 0.4755 0.0284 H
0.7094 0.5245 0.9716 H
0.7094 0.9755 0.4716 H
0.0121 0.6347 0.6143 O
0.0121 0.8653 0.1143 O
0.0742 0.1979 0.5747 O
0.0742 0.3021 0.0747 O
0.1463 0.5851 0.1284 O
0.1463 0.9149 0.6284 O
0.1891 0.0131 0.8188 O
0.1891 0.4869 0.3188 O
0.3349 0.7197 0.2342 O
0.3349 0.7803 0.7342 O
0.3662 0.0596 0.1208 O
0.3662 0.4404 0.6208 O
0.4324 0.0300 0.6495 O
0.4324 0.4700 0.1495 O
0.4598 0.6570 0.0272 O
0.4598 0.8430 0.5272 O
0.4889 0.6350 0.5675 O
0.4889 0.8650 0.0675 O
0.5111 0.1350 0.9325 O
0.5111 0.3650 0.4325 O
0.5402 0.1570 0.4728 O
0.5402 0.3430 0.9728 O
0.5676 0.5300 0.8505 O
0.5676 0.9700 0.3505 O
0.6338 0.5596 0.3792 O
0.6338 0.9404 0.8792 O
0.6651 0.2197 0.2658 O
0.6651 0.2803 0.7658 O
0.8109 0.5131 0.6812 O
0.8109 0.9869 0.1812 O
0.8537 0.0851 0.3716 O
0.8537 0.4149 0.8716 O
0.9258 0.6979 0.9253 O
0.9258 0.8021 0.4253 O
0.9879 0.1347 0.8857 O
0.9879 0.3653 0.3857 O
```